No. 1
Pr2Cd5Au3: theoretical powder diffractogram (a wavelength of 1.5418 Å), based on a cell relaxed with GGA-PBE.
Peak positions follow from Bragg's law for the DFT cell and can differ from measured ones.

Structural model:
Cell lengths 4.6282, 27.0544, 7.6230 Å; angles 90.00, 90.00, 90.00 degrees
Space group Cmc2_1 (No. 36)
Inequivalent atoms, fractional coordinates:
Pr1 0.0000 0.0219 0.0000 (multiplicity 4)
Pr2 0.0000 0.3213 0.8993 (multiplicity 4)
Cd1 0.0000 0.1016 0.6283 (multiplicity 4)
Cd2 0.0000 0.2050 0.0862 (multiplicity 4)
Cd3 0.0000 0.2058 0.6967 (multiplicity 4)
Cd4 0.0000 0.3740 0.4640 (multiplicity 4)
Cd5 0.0000 0.4451 0.8332 (multiplicity 4)
Au1 0.0000 0.1114 0.2436 (multiplicity 4)
Au2 0.0000 0.2664 0.3895 (multiplicity 4)
Au3 0.0000 0.4556 0.2171 (multiplicity 4)

Top 10 peaks for 2θ from 10° to 80°, in order of rising 2θ:
2θ/deg	I/Imax
30.6	232
32.0	1000
32.4	847
34.7	225
35.2	262
35.6	327
38.9	688
40.8	232
41.8	453
43.0	273

***

No. 2
Pr4CdAu5: theoretical powder diffractogram (a wavelength of 1.5418 Å), based on a cell relaxed with GGA-PBE.
Peak positions follow from Bragg's law for the DFT cell and can differ from measured ones.

Structural model:
Cell lengths 3.7043, 3.7043, 18.2512 Å; angles 90.00, 90.00, 90.00 degrees
Space group P4/mmm (No. 123)
Inequivalent atoms, fractional coordinates:
Pr1 0.0000 0.0000 0.1043 (multiplicity 2)
Pr2 0.0000 0.0000 0.3148 (multiplicity 2)
Cd1 0.0000 0.0000 0.5000 (multiplicity 1)
Au1 0.5000 0.5000 0.0000 (multiplicity 1)
Au2 0.5000 0.5000 0.2062 (multiplicity 2)
Au3 0.5000 0.5000 0.4119 (multiplicity 2)

Top 10 peaks for 2θ from 10° to 80°, in order of rising 2θ:
2θ/deg	I/Imax
24.0	43
31.1	42
34.2	554
34.5	1000
49.2	201
50.0	68
61.5	380
62.0	143
72.1	65
72.7	90

***

No. 3
PrCd5Au2: theoretical powder diffractogram (a wavelength of 1.5418 Å), based on a cell relaxed with GGA-PBE.
Peak positions follow from Bragg's law for the DFT cell and can differ from measured ones.

Structural model:
Cell lengths 4.0210, 8.7010, 10.6646 Å; angles 90.00, 90.00, 90.00 degrees
Space group Immm (No. 71)
Inequivalent atoms, fractional coordinates:
Pr1 0.0000 0.0000 0.0000 (multiplicity 2)
Cd1 0.0000 0.1950 0.3566 (multiplicity 8)
Cd2 0.0000 0.5000 0.0000 (multiplicity 2)
Au1 0.0000 0.5000 0.2734 (multiplicity 4)

Top 10 peaks for 2θ from 10° to 80°, in order of rising 2θ:
2θ/deg	I/Imax
29.7	522
31.4	582
33.7	1000
38.3	570
39.6	739
42.0	668
45.1	389
54.5	267
61.6	385
69.4	298

***

No. 4
Pr6CdAu: theoretical powder diffractogram (a wavelength of 1.5418 Å), based on a cell relaxed with GGA-PBE.
Peak positions follow from Bragg's law for the DFT cell and can differ from measured ones.

Structural model:
Cell lengths 6.3446, 6.3473, 6.3473 Å; angles 94.20, 94.08, 94.22 degrees
Space group P-1 (No. 2)
Inequivalent atoms, fractional coordinates:
Pr1 0.0294 0.2550 0.0602 (multiplicity 2)
Pr2 0.2448 0.9405 0.4704 (multiplicity 2)
Pr3 0.4400 0.4716 0.7448 (multiplicity 2)
Cd1 0.5000 0.0000 0.0000 (multiplicity 1)
Au1 0.0000 0.5000 0.5000 (multiplicity 1)

Top 10 peaks for 2θ from 10° to 80°, in order of rising 2θ:
2θ/deg	I/Imax
28.3	414
30.7	931
32.7	475
33.4	176
34.4	1000
37.1	269
52.1	345
58.0	177
58.5	144
63.9	145

***

No. 5
PrCd4Au2: theoretical powder diffractogram (a wavelength of 1.5418 Å), based on a cell relaxed with GGA-PBE.
Peak positions follow from Bragg's law for the DFT cell and can differ from measured ones.

Structural model:
Cell lengths 8.6283, 8.6283, 4.3859 Å; angles 90.00, 90.00, 90.00 degrees
Space group P4_2/mnm (No. 136)
Inequivalent atoms, fractional coordinates:
Pr1 0.0000 0.0000 0.0000 (multiplicity 2)
Cd1 0.0976 0.3457 0.5000 (multiplicity 8)
Au1 0.1860 0.8140 0.5000 (multiplicity 4)

Top 10 peaks for 2θ from 10° to 80°, in order of rising 2θ:
2θ/deg	I/Imax
23.0	332
29.3	167
30.9	1000
35.9	955
37.4	282
38.9	484
41.2	436
43.2	504
61.2	355
77.3	241

***

No. 6
PrCd3Au2: theoretical powder diffractogram (a wavelength of 1.5418 Å), based on a cell relaxed with GGA-PBE.
Peak positions follow from Bragg's law for the DFT cell and can differ from measured ones.

Structural model:
Cell lengths 16.9993, 4.5085, 7.9624 Å; angles 90.00, 112.58, 90.00 degrees
Space group C2/m (No. 12)
Inequivalent atoms, fractional coordinates:
Pr1 0.1187 0.0000 0.1674 (multiplicity 4)
Cd1 0.0627 0.0000 0.6814 (multiplicity 4)
Cd2 0.1455 0.5000 0.4936 (multiplicity 4)
Cd3 0.1888 0.5000 0.9011 (multiplicity 4)
Au1 0.0102 0.5000 0.8311 (multiplicity 4)
Au2 0.2378 0.0000 0.7062 (multiplicity 4)

Top 10 peaks for 2θ from 10° to 80°, in order of rising 2θ:
2θ/deg	I/Imax
31.0	499
31.5	569
33.0	1000
33.6	637
34.8	374
39.5	394
40.0	734
40.3	603
42.1	351
57.5	258

***

No. 7
PrTmCd2Au4: theoretical powder diffractogram (a wavelength of 1.5418 Å), based on a cell relaxed with GGA-PBE.
Peak positions follow from Bragg's law for the DFT cell and can differ from measured ones.

Structural model:
Cell lengths 4.9816, 4.9816, 24.4261 Å; angles 90.00, 90.00, 120.00 degrees
Space group R-3m (No. 166, hexagonal axes)
Inequivalent atoms, fractional coordinates:
Pr1 0.0000 0.0000 0.0000 (multiplicity 3)
Tm1 0.0000 0.0000 0.5000 (multiplicity 3)
Cd1 0.0000 0.0000 0.2506 (multiplicity 6)
Au1 0.0000 0.0000 0.1304 (multiplicity 6)
Au2 0.0000 0.0000 0.3805 (multiplicity 6)

Top 10 peaks for 2θ from 10° to 80°, in order of rising 2θ:
2θ/deg	I/Imax
10.9	10
25.3	41
36.0	1000
44.5	12
49.7	11
51.9	173
58.6	15
64.8	347
68.9	11
76.5	107

***

No. 8
PrZn2Cd2Au2: theoretical powder diffractogram (a wavelength of 1.5418 Å), based on a cell relaxed with GGA-PBE.
Peak positions follow from Bragg's law for the DFT cell and can differ from measured ones.

Structural model:
Cell lengths 4.5949, 4.5949, 24.7860 Å; angles 90.00, 90.00, 120.00 degrees
Space group R-3m (No. 166, hexagonal axes)
Inequivalent atoms, fractional coordinates:
Pr1 0.0000 0.0000 0.0000 (multiplicity 3)
Zn1 0.0000 0.0000 0.4082 (multiplicity 6)
Cd1 0.0000 0.0000 0.1360 (multiplicity 6)
Au1 0.0000 0.0000 0.2567 (multiplicity 6)

Top 10 peaks for 2θ from 10° to 80°, in order of rising 2θ:
2θ/deg	I/Imax
23.5	224
26.6	149
33.9	573
36.8	702
39.2	1000
52.8	159
54.8	221
69.5	217
70.2	206
71.1	170

***

No. 9
Cd5Pt2Au4: theoretical powder diffractogram (a wavelength of 1.5418 Å), based on a cell relaxed with GGA-PBE.
Peak positions follow from Bragg's law for the DFT cell and can differ from measured ones.

Structural model:
Cell lengths 6.5600, 15.8505, 4.0933 Å; angles 90.00, 90.00, 90.00 degrees
Space group Pbam (No. 55)
Inequivalent atoms, fractional coordinates:
Cd1 0.0000 0.0000 0.0000 (multiplicity 2)
Cd2 0.0859 0.4083 0.0000 (multiplicity 4)
Cd3 0.1777 0.2057 0.0000 (multiplicity 4)
Pt1 0.0235 0.7033 0.5000 (multiplicity 4)
Au1 0.1108 0.8726 0.5000 (multiplicity 4)
Au2 0.2082 0.5421 0.5000 (multiplicity 4)

Top 10 peaks for 2θ from 10° to 80°, in order of rising 2θ:
2θ/deg	I/Imax
21.7	365
34.3	438
35.5	652
36.7	493
36.9	863
38.4	1000
44.3	510
44.9	253
58.8	272
76.5	250

***

No. 10
Cd7PtAu2: theoretical powder diffractogram (a wavelength of 1.5418 Å), based on a cell relaxed with GGA-PBE.
Peak positions follow from Bragg's law for the DFT cell and can differ from measured ones.

Structural model:
Cell lengths 4.6947, 4.6947, 11.5731 Å; angles 90.00, 90.00, 120.00 degrees
Space group P3m1 (No. 156)
Inequivalent atoms, fractional coordinates:
Cd1 0.0000 0.0000 0.0000 (multiplicity 1)
Cd2 0.0000 0.0000 0.2518 (multiplicity 1)
Cd3 0.0000 0.0000 0.7317 (multiplicity 1)
Cd4 0.3333 0.6667 0.3922 (multiplicity 1)
Cd5 0.3333 0.6667 0.8928 (multiplicity 1)
Cd6 0.6667 0.3333 0.1183 (multiplicity 1)
Cd7 0.6667 0.3333 0.5716 (multiplicity 1)
Pt1 0.3333 0.6667 0.1437 (multiplicity 1)
Au1 0.0000 0.0000 0.4907 (multiplicity 1)
Au2 0.6667 0.3333 0.8240 (multiplicity 1)

Top 10 peaks for 2θ from 10° to 80°, in order of rising 2θ:
2θ/deg	I/Imax
23.1	166
23.2	392
32.0	88
38.2	943
38.3	1000
45.2	245
55.2	317
68.9	105
69.2	318
69.3	170

***

No. 11
Cd8Pt2Au3: theoretical powder diffractogram (a wavelength of 1.5418 Å), based on a cell relaxed with GGA-PBE.
Peak positions follow from Bragg's law for the DFT cell and can differ from measured ones.

Structural model:
Cell lengths 9.2632, 12.9892, 4.7121 Å; angles 90.00, 90.00, 90.00 degrees
Space group Cmmm (No. 65)
Inequivalent atoms, fractional coordinates:
Cd1 0.0000 0.1316 0.0000 (multiplicity 4)
Cd2 0.0000 0.3653 0.0000 (multiplicity 4)
Cd3 0.2352 0.3693 0.5000 (multiplicity 8)
Pt1 0.0000 0.2404 0.5000 (multiplicity 4)
Au1 0.0000 0.0000 0.5000 (multiplicity 2)
Au2 0.2440 0.5000 0.0000 (multiplicity 4)

Top 10 peaks for 2θ from 10° to 80°, in order of rising 2θ:
2θ/deg	I/Imax
11.7	63
23.3	136
23.6	146
38.2	218
38.9	1000
55.7	139
56.7	61
69.5	142
70.4	190
70.9	66

***

No. 12
Cd6PtAu8: theoretical powder diffractogram (a wavelength of 1.5418 Å), based on a cell relaxed with GGA-PBE.
Peak positions follow from Bragg's law for the DFT cell and can differ from measured ones.

Structural model:
Cell lengths 7.4728, 7.4728, 17.9221 Å; angles 90.00, 90.00, 120.00 degrees
Space group R-3 (No. 148, hexagonal axes)
Inequivalent atoms, fractional coordinates:
Cd1 0.0266 0.2577 0.2104 (multiplicity 18)
Pt1 0.0000 0.0000 0.5000 (multiplicity 3)
Au1 0.0000 0.0000 0.0849 (multiplicity 6)
Au2 0.0573 0.8036 0.6347 (multiplicity 18)

Top 10 peaks for 2θ from 10° to 80°, in order of rising 2θ:
2θ/deg	I/Imax
37.1	1000
37.4	729
37.8	528
38.1	760
38.6	598
44.9	250
66.2	226
68.2	162
68.6	146
79.0	141